Record 1
Diffraction record for SnPt15. The powder XRD pattern is calculated, not measured: it uses the GGA-PBE geometry in OQMD and Cu Kα, 1.54184 Å.
Lines closer than 0.1° are merged.

Main lines, by angle (10° ≤ 2θ ≤ 90°):
37.25°, rel. 28
39.32°, rel. 67
39.65°, rel. 100
44.19°, rel. 17
45.73°, rel. 34
45.99°, rel. 23
46.00°, rel. 21
66.86°, rel. 14
80.41°, rel. 29
81.01°, rel. 17

```
data_SnPt15
_chemical_formula_sum 'Sn2 Pt30'
_cell_length_a 5.550
_cell_length_b 3.970
_cell_length_c 36.484
_cell_angle_alpha 90.00
_cell_angle_beta 90.00
_cell_angle_gamma 90.00
_space_group_name_H-M_alt 'P 1 21/m 1'
_space_group_IT_number 11
loop_
_space_group_symop_operation_xyz
'x,y,z'
'-x,-y,-z'
'-x,y+1/2,-z'
'x,-y+1/2,z'
loop_
_atom_site_label
_atom_site_type_symbol
_atom_site_fract_x
_atom_site_fract_y
_atom_site_fract_z
Sn1 Sn 0.125 0.250 0.295
Pt1 Pt 0.123 0.250 0.746
Pt2 Pt 0.123 0.250 0.825
Pt3 Pt 0.124 0.250 0.903
Pt4 Pt 0.125 0.250 0.058
Pt5 Pt 0.125 0.250 0.136
Pt6 Pt 0.125 0.250 0.215
Pt7 Pt 0.125 0.250 0.981
Pt8 Pt 0.373 0.750 0.174
Pt9 Pt 0.374 0.750 0.097
Pt10 Pt 0.374 0.750 0.254
Pt11 Pt 0.375 0.750 0.019
Pt12 Pt 0.375 0.750 0.713
Pt13 Pt 0.375 0.750 0.789
Pt14 Pt 0.375 0.750 0.865
Pt15 Pt 0.375 0.750 0.942
```

---

Record 2
Diffraction record for Sn4Pt. The powder XRD pattern is calculated, not measured: it uses the GGA-PBE geometry in OQMD and Cu Kα, 1.54184 Å.
Lines closer than 0.1° are merged.

Main lines, by angle (10° ≤ 2θ ≤ 90°):
15.31°, rel. 44
20.90°, rel. 30
30.32°, rel. 85
31.72°, rel. 37
33.10°, rel. 100
36.66°, rel. 74
41.92°, rel. 85
43.85°, rel. 30
45.04°, rel. 97
65.93°, rel. 39

```
data_Sn4Pt
_chemical_formula_sum 'Sn32 Pt8'
_cell_length_a 6.463
_cell_length_b 6.463
_cell_length_c 23.142
_cell_angle_alpha 90.00
_cell_angle_beta 90.00
_cell_angle_gamma 90.00
_space_group_name_H-M_alt 'I 41/a c d'
_space_group_IT_number 142
loop_
_space_group_symop_operation_xyz
'x,y,z'
'-x,-y,-z'
'-y+1/4,x+3/4,z+1/4'
'y+1/4,-x+3/4,-z+1/4'
'-x+1/2,-y,z+1/2'
'x+1/2,y,-z+1/2'
'y+1/4,-x+1/4,z+3/4'
'-y+1/4,x+1/4,-z+3/4'
'x,-y,-z+1/2'
'-x,y,z+1/2'
'-y+1/4,-x+1/4,-z+1/4'
'y+1/4,x+1/4,z+1/4'
'-x+1/2,y,-z'
'x+1/2,-y,z'
'y+1/4,x+3/4,-z+3/4'
'-y+1/4,-x+3/4,z+3/4'
'x+1/2,y+1/2,z+1/2'
'-x+1/2,-y+1/2,-z+1/2'
'-y+3/4,x+1/4,z+3/4'
'y+3/4,-x+1/4,-z+3/4'
'-x,-y+1/2,z'
'x,y+1/2,-z'
'y+3/4,-x+3/4,z+1/4'
'-y+3/4,x+3/4,-z+1/4'
'x+1/2,-y+1/2,-z'
'-x+1/2,y+1/2,z'
'-y+3/4,-x+3/4,-z+3/4'
'y+3/4,x+3/4,z+3/4'
'-x,y+1/2,-z+1/2'
'x,-y+1/2,z+1/2'
'y+3/4,x+1/4,-z+1/4'
'-y+3/4,-x+1/4,z+1/4'
loop_
_atom_site_label
_atom_site_type_symbol
_atom_site_fract_x
_atom_site_fract_y
_atom_site_fract_z
Sn1 Sn 0.166 0.083 0.438
Pt1 Pt 0.000 0.250 0.125
```